[1]
Starting from a crystal structure in Alexandria, relaxed with GGA-PBE, the powder X-ray diffraction pattern of Mg2AlOs was computed for Cu Ka.
Lines closer than 0.1° are merged.

Main lines, most intense first (2θ = 10–90°):
two_theta  I/Imax  hkl
39.32  100  1 1 2
22.64  82  0 1 1
20.50  48  0 0 2
40.94  43  0 2 0
28.07  42  1 0 1
33.18  29  1 1 0
73.49  22  1 3 2
41.70  20  0 0 4
37.22  19  0 1 3
59.87  18  0 2 4

a = 3.4166 Å, b = 4.4073 Å, c = 8.6636 Å
α = 90.00°, β = 90.00°, γ = 90.00°
Space group Imm2 (No. 44)
Unique sites:
Mg 0.0000 0.0000 0.0000 x2
Mg 0.0000 0.5000 0.2336 x2
Al 0.0000 0.0000 0.4693 x2
Os 0.0000 0.5000 0.7518 x2



[2]
Starting from a crystal structure in Alexandria, relaxed with GGA-PBE, the powder X-ray diffraction pattern of Mg2AlOs was computed for Cu Ka.
Lines closer than 0.1° are merged.

Main lines, most intense first (2θ = 10–90°):
two_theta  I/Imax  hkl
19.08  100  1 1 0
38.66  96  2 2 0
20.61  44  0 2 0
37.77  37  1 1 1
46.39  29  2 0 1
35.20  22  1 3 0
64.29  22  2 4 1
41.92  19  0 4 0
48.51  19  1 3 1
51.26  16  2 2 1

a = 5.5268 Å, b = 8.6198 Å, c = 2.7729 Å
α = 90.00°, β = 90.00°, γ = 90.00°
Space group Cmmm (No. 65)
Unique sites:
Mg 0.2500 0.2500 0.0000 x4
Al 0.0000 0.0000 0.5000 x2
Os 0.0000 0.5000 0.5000 x2



Number 1 is which compound?
Mg2AlOs



Number 1 is which compound?
Mg2AlOs